The following is a calculated X-ray diffraction stick pattern of LaPr4Sm7. It was derived from a GGA-PBE-relaxed structure, using Cu Kα X-rays.

Main lines, by angle (15° ≤ 2θ ≤ 90°):
| 2θ/deg | I_rel | (hkl) |
| --- | --- | --- |
| 28.1 | 36 | 1 2 0 |
| 30.2 | 50 | 0 0 3 |
| 31.0 | 100 | 2 0 -2 |
| 32.6 | 85 | 2 0 1 |
| 39.0 | 16 | 1 2 -3 |
| 49.3 | 38 | 0 4 0 |
| 53.0 | 23 | 2 0 -5 |
| 56.2 | 18 | 2 0 4 |
| 58.9 | 45 | 3 2 2 |
| 59.4 | 16 | 2 4 -2 |
| 60.4 | 15 | 2 4 1 |
| 83.7 | 17 | 3 2 5 |

Crystal structure
a = 6.4046 Å, b = 7.3970 Å, c = 9.1354 Å
α = 90.03°, β = 103.50°, γ = 90.00°
Space group P-1 (No. 2)
One atom of each set of equivalent atoms:
La  0.0000  0.0000  0.0000
Pr  0.2223  0.4999  0.6688
Pr  0.2779  0.2491  0.3331
Sm  0.0000  0.5000  0.0000
Sm  0.2227  0.0002  0.6680
Sm  0.2772  0.7510  0.3321
Sm  0.5001  0.2495  0.9993

The following is a calculated X-ray diffraction stick pattern of La7Pr12Sm. It was derived from a GGA-PBE-relaxed structure, using Cu Kα X-rays.

Main lines, by angle (15° ≤ 2θ ≤ 90°):
| 2θ/deg | I_rel | (hkl) |
| --- | --- | --- |
| 25.7 | 28 | 4 0 1 |
| 26.4 | 17 | 1 2 2 |
| 27.7 | 14 | 3 2 1 |
| 30.1 | 42 | 3 1 2 |
| 30.5 | 100 | 3 3 0 |
| 31.8 | 36 | 0 4 2 |
| 32.1 | 19 | 0 0 3 |
| 33.4 | 25 | 2 3 2 |
| 44.9 | 25 | 3 3 3 |
| 47.1 | 19 | 0 7 2 |
| 54.3 | 14 | 9 0 0 |
| 58.2 | 14 | 3 7 2 |

Crystal structure
a = 17.5739 Å, b = 17.5739 Å, c = 8.3554 Å
α = 90.00°, β = 90.00°, γ = 120.00°
Space group R-3m (No. 166, hexagonal axes)
One atom of each set of equivalent atoms:
La  0.0000  0.0000  0.0000
La  0.1031  0.5516  0.9699
Pr  0.0000  0.2854  0.0000
Pr  0.1082  0.2164  0.7317
Sm  0.0000  0.0000  0.5000